The following is a computed powder X-ray diffraction pattern of PrGdDy4. It was derived from a DFT-relaxed cell (PBE, Alexandria), using Cu Kα.
Peak positions follow from Bragg's law for the DFT cell and can differ from measured ones.

Peak list (8 most intense, 10° ≤ 2θ ≤ 90°, in order of rising 2θ)
2θ/deg	d_spacing	Rel. int.	hkl
26.92	3.312	24	2 2 0
31.68	2.824	100	3 1 1
33.13	2.704	43	2 2 2
50.64	1.803	36	5 1 1
55.50	1.656	32	4 4 0
65.33	1.428	13	5 3 3
66.18	1.412	18	6 2 2
78.42	1.219	22	7 3 1

Structural model:
abc: 9.3667 9.3667 9.3667
angles: 90.00 90.00 90.00
Space group F-43m (No. 216)
Symmetry-distinct sites (fractional):
Pr  0.0000  0.0000  0.0000 x4
Gd  0.2500  0.2500  0.2500 x4
Dy  0.1252  0.1252  0.6252 x16

***

The following is a computed powder X-ray diffraction pattern of Li2MnPd4Au. It was derived from a DFT-relaxed cell (PBE, Alexandria), using Cu Kα.
Peak positions follow from Bragg's law for the DFT cell and can differ from measured ones.

Peak list (8 most intense, 10° ≤ 2θ ≤ 90°, in order of rising 2θ)
2θ/deg	d_spacing	Rel. int.	hkl
13.41	6.603	23	0 0 2
24.29	3.664	41	0 2 3
27.01	3.301	27	0 0 4
32.72	2.737	26	1 1 1
33.90	2.644	30	0 4 3
39.95	2.257	100	1 3 2
40.96	2.204	48	0 6 0
46.78	1.942	26	1 3 4

Structural model:
abc: 2.8627 13.2306 13.2043
angles: 90.00 90.00 90.00
Space group Cmcm (No. 63)
Symmetry-distinct sites (fractional):
Li  0.0000  0.1351  0.0949 x8
Mn  0.0000  0.3427  0.2500 x4
Pd  0.0000  0.0023  0.7500 x4
Pd  0.0000  0.1729  0.5839 x8
Pd  0.0000  0.5000  0.0000 x4
Au  0.0000  0.3249  0.7500 x4

***

The following is a computed powder X-ray diffraction pattern of SrReBiPt2. It was derived from a DFT-relaxed cell (PBE, Alexandria), using Cu Kα.
Peak positions follow from Bragg's law for the DFT cell and can differ from measured ones.

Peak list (8 most intense, 10° ≤ 2θ ≤ 90°, in order of rising 2θ)
2θ/deg	d_spacing	Rel. int.	hkl
14.56	6.085	54	0 0 1
22.67	3.922	72	1 0 1
28.65	3.116	91	1 1 1
29.36	3.042	79	0 0 2
34.98	2.565	100	2 0 0
46.29	1.961	92	2 0 2
50.30	1.814	36	2 2 0
59.31	1.558	44	2 2 2

Structural model:
abc: 5.1306 5.1306 6.0846
angles: 90.00 90.00 90.00
Space group P4/mmm (No. 123)
Symmetry-distinct sites (fractional):
Sr  0.0000  0.0000  0.0000 x1
Re  0.5000  0.5000  0.0000 x1
Bi  0.0000  0.0000  0.5000 x1
Pt  0.0000  0.5000  0.5000 x2

***

The following is a computed powder X-ray diffraction pattern of K3YPu3Se8. It was derived from a DFT-relaxed cell (PBE, Alexandria), using Cu Kα.
Peak positions follow from Bragg's law for the DFT cell and can differ from measured ones.

Peak list (8 most intense, 10° ≤ 2θ ≤ 90°, in order of rising 2θ)
2θ/deg	d_spacing	Rel. int.	hkl
11.04	8.015	100	0 0 1
27.02	3.300	17	2 0 1
33.35	2.687	90	2 0 2
35.04	2.561	45	2 2 0
36.85	2.439	24	2 2 1
42.03	2.150	31	2 0 3
50.40	1.811	16	4 0 0
61.79	1.501	30	4 2 2

Structural model:
abc: 7.2424 7.2424 8.0153
angles: 90.00 90.00 90.00
Space group P4/mmm (No. 123)
Symmetry-distinct sites (fractional):
K  0.0000  0.0000  0.0000 x1
K  0.0000  0.5000  0.0000 x2
Y  0.5000  0.5000  0.5000 x1
Pu  0.0000  0.0000  0.5000 x1
Pu  0.0000  0.5000  0.5000 x2
Se  0.2484  0.2484  0.2962 x8

***

The following is a computed powder X-ray diffraction pattern of NdTm2ScTl2. It was derived from a DFT-relaxed cell (PBE, Alexandria), using Cu Kα.
Peak positions follow from Bragg's law for the DFT cell and can differ from measured ones.

Peak list (8 most intense, 10° ≤ 2θ ≤ 90°, in order of rising 2θ)
2θ/deg	d_spacing	Rel. int.	hkl
22.32	3.982	20	0 2 1
30.32	2.948	23	0 3 1
31.73	2.820	56	1 0 2
32.76	2.734	92	1 3 0
33.05	2.710	100	1 1 2
35.36	2.538	42	1 3 1
35.97	2.497	61	2 0 0
38.11	2.361	21	0 3 2

Structural model:
abc: 4.9942 9.8012 6.8340
angles: 90.00 90.00 90.00
Space group Pmc2_1 (No. 26)
Symmetry-distinct sites (fractional):
Nd  0.0000  0.0461  0.0000 x2
Tm  0.0000  0.3159  0.3922 x2
Tm  0.5000  0.4527  0.0987 x2
Sc  0.5000  0.2000  0.7165 x2
Tl  0.0000  0.3663  0.8407 x2
Tl  0.5000  0.1310  0.2763 x2

***

The following is a computed powder X-ray diffraction pattern of AlAg2Sn. It was derived from a DFT-relaxed cell (PBE, Alexandria), using Cu Kα.
Peak positions follow from Bragg's law for the DFT cell and can differ from measured ones.

Peak list (8 most intense, 10° ≤ 2θ ≤ 90°, in order of rising 2θ)
2θ/deg	d_spacing	Rel. int.	hkl
31.31	2.857	50	0 0 3
36.32	2.474	100	1 0 2
42.19	2.142	48	1 1 0
53.46	1.714	19	1 1 3
61.19	1.515	25	2 0 0
62.20	1.493	17	1 0 5
70.36	1.338	15	2 0 3
73.29	1.292	27	2 1 2

Structural model:
abc: 3.0284 3.0284 8.5766
angles: 90.00 90.00 90.00
Space group P4/mmm (No. 123)
Symmetry-distinct sites (fractional):
Al  0.0000  0.0000  0.0000 x1
Ag  0.5000  0.5000  0.2081 x2
Sn  0.0000  0.0000  0.5000 x1

***

The following is a computed powder X-ray diffraction pattern of Y4Tm19Th6. It was derived from a DFT-relaxed cell (PBE, Alexandria), using Cu Kα.
Peak positions follow from Bragg's law for the DFT cell and can differ from measured ones.

Peak list (8 most intense, 10° ≤ 2θ ≤ 90°, in order of rising 2θ)
2θ/deg	d_spacing	Rel. int.	hkl
27.00	3.302	86	3 2 1
28.91	3.089	74	4 0 0
30.70	2.912	77	4 1 1
35.60	2.522	60	4 2 2
37.11	2.423	100	4 3 1
47.71	1.906	28	5 1 4
60.92	1.521	34	7 4 1
64.93	1.436	25	7 4 3

Structural model:
abc: 12.3542 12.3542 12.3542
angles: 90.00 90.00 90.00
Space group I23 (No. 197)
Symmetry-distinct sites (fractional):
Y  0.1780  0.1780  0.1780 x8
Tm  0.0000  0.0000  0.0000 x2
Tm  0.0000  0.0000  0.2641 x12
Tm  0.0664  0.2755  0.7436 x24
Th  0.0000  0.1301  0.5000 x12

***

The following is a computed powder X-ray diffraction pattern of Zr5BiH2. It was derived from a DFT-relaxed cell (PBE, Alexandria), using Cu Kα.
Peak positions follow from Bragg's law for the DFT cell and can differ from measured ones.

Peak list (8 most intense, 10° ≤ 2θ ≤ 90°, in order of rising 2θ)
2θ/deg	d_spacing	Rel. int.	hkl
11.38	7.777	35	0 0 2
31.21	2.866	85	1 1 2
34.60	2.592	34	0 0 6
37.22	2.416	100	1 1 4
41.42	2.180	49	2 0 0
55.04	1.668	36	2 0 6
67.44	1.389	22	1 1 10
72.78	1.299	28	3 1 4

Structural model:
abc: 4.3599 4.3599 15.5547
angles: 90.00 90.00 90.00
Space group I4/mmm (No. 139)
Symmetry-distinct sites (fractional):
Zr  0.0000  0.0000  0.0000 x2
Zr  0.0000  0.5000  0.1524 x8
Bi  0.0000  0.0000  0.5000 x2
H  0.0000  0.0000  0.1330 x4